Entry 1:
The following is a simulated PXRD pattern of KEu3. It was derived from a PBE-relaxed structure, using λ = 1.5418 Å (Cu Kα).

Main lines, in order of falling intensity (10 to 90 degrees two-theta):
2theta	d_spacing	intensity
26.14	3.409	100
30.63	2.919	33
51.78	1.766	30
43.07	2.100	26
29.53	3.025	18
50.37	1.812	16
53.77	1.705	13
16.86	5.257	13
68.97	1.362	13
43.87	2.064	12

Crystal structure
Unit cell a=5.8373 b=5.8373 c=12.0980 alpha=90.00 beta=90.00 gamma=90.00
Space group I4/mmm (No. 139)
Symmetry-distinct sites (fractional):
K  0.0000  0.0000  0.0000 x2
Eu  0.0000  0.0000  0.5000 x2
Eu  0.0000  0.5000  0.2500 x4

Entry 2:
The following is a simulated PXRD pattern of ZrF4. It was derived from a PBE-relaxed structure, using λ = 1.5418 Å (Cu Kα).

Main lines, in order of falling intensity (10 to 90 degrees two-theta):
2theta	d_spacing	intensity
22.50	3.952	100
25.43	3.502	88
24.02	3.705	54
50.06	1.822	43
26.78	3.329	30
46.44	1.955	30
28.84	3.096	29
46.75	1.943	29
48.38	1.881	20
28.96	3.084	20

Crystal structure
Unit cell a=11.9973 b=10.1164 c=7.8385 alpha=90.00 beta=125.94 gamma=90.00
Space group C2/c (No. 15)
Symmetry-distinct sites (fractional):
Zr  0.0000  0.2139  0.2500 x4
Zr  0.2057  0.4288  0.8332 x8
F  0.0000  0.3963  0.7500 x4
F  0.1094  0.2935  0.5765 x8
F  0.1171  0.0551  0.4555 x8
F  0.1192  0.3780  0.2824 x8
F  0.1220  0.1526  0.1479 x8
F  0.2124  0.4711  0.1060 x8
F  0.2500  0.2500  0.0000 x4

Repeat the second record exactly.
The following is a simulated PXRD pattern of ZrF4. It was derived from a PBE-relaxed structure, using λ = 1.5418 Å (Cu Kα).

Main lines, in order of falling intensity (10 to 90 degrees two-theta):
2theta	d_spacing	intensity
22.50	3.952	100
25.43	3.502	88
24.02	3.705	54
50.06	1.822	43
26.78	3.329	30
46.44	1.955	30
28.84	3.096	29
46.75	1.943	29
48.38	1.881	20
28.96	3.084	20

Crystal structure
Unit cell a=11.9973 b=10.1164 c=7.8385 alpha=90.00 beta=125.94 gamma=90.00
Space group C2/c (No. 15)
Symmetry-distinct sites (fractional):
Zr  0.0000  0.2139  0.2500 x4
Zr  0.2057  0.4288  0.8332 x8
F  0.0000  0.3963  0.7500 x4
F  0.1094  0.2935  0.5765 x8
F  0.1171  0.0551  0.4555 x8
F  0.1192  0.3780  0.2824 x8
F  0.1220  0.1526  0.1479 x8
F  0.2124  0.4711  0.1060 x8
F  0.2500  0.2500  0.0000 x4